Simulated powder diffraction line list
Compound: ScGa2Rh2
Radiation: Cu Kα X-rays
Structure: a crystal structure in Alexandria, relaxed with GGA-PBE
Peak positions follow from Bragg's law for the DFT cell and can differ from measured ones.

Structure:
```
ScGa2Rh2
1.0
4.690 0.000 0.000
0.000 4.396 0.000
-1.894 0.000 8.097
Sc Ga Rh
2 4 4
direct
0.180 0.250 0.272 Sc
0.820 0.750 0.728 Sc
0.304 0.250 0.650 Ga
0.352 0.750 0.006 Ga
0.648 0.250 0.994 Ga
0.696 0.750 0.350 Ga
0.104 0.250 0.902 Rh
0.252 0.750 0.479 Rh
0.748 0.250 0.521 Rh
0.896 0.750 0.098 Rh
```

Principal peaks in the range 2θ = 10–80°, by angle:
hkl 0 0 2, d = 4.048 Å, 2θ 21.96, I = 49
hkl 0 1 1, d = 3.863 Å, 2θ 23.02, I = 36
hkl 1 1 2, d = 2.323 Å, 2θ 38.77, I = 100
hkl 0 1 3, d = 2.300 Å, 2θ 39.17, I = 49
hkl 1 1 -3, d = 2.236 Å, 2θ 40.34, I = 34
hkl 2 0 -2, d = 2.217 Å, 2θ 40.70, I = 24
hkl 0 2 0, d = 2.198 Å, 2θ 41.07, I = 75
hkl 1 0 -4, d = 2.028 Å, 2θ 44.69, I = 31
hkl 2 1 -2, d = 1.979 Å, 2θ 45.84, I = 29
hkl 2 1 1, d = 1.879 Å, 2θ 48.45, I = 24